For Mn3Zn2AsO12, a structure optimized by DFT (GGA+U) gives the calculated powder XRD pattern in this record (Cu Kα).
No peak broadening, texture or thermal motion is included.

Top 10 peaks for 10 to 90 degrees two-theta, by angle:
- 2θ 12.35, I 100
- 2θ 21.55, I 23
- 2θ 21.70, I 12
- 2θ 24.81, I 11
- 2θ 27.81, I 16
- 2θ 34.91, I 41
- 2θ 35.23, I 9
- 2θ 38.53, I 9
- 2θ 40.66, I 10
- 2θ 49.29, I 11

abc: 12.9064 12.9064 7.4891
angles: 106.44 106.44 13.41
Fractional positions:
Mn  0.0000  0.0000  0.0000
Mn  0.1741  0.1741  0.7226
Mn  0.5872  0.5872  0.8269
Zn  0.3795  0.3795  0.9572
Zn  0.7834  0.7834  0.0307
As  0.9763  0.9763  0.4772
O  0.0260  0.0260  0.6876
O  0.1312  0.1312  0.9172
O  0.2028  0.2028  0.5385
O  0.3306  0.3306  0.0975
O  0.4363  0.4363  0.4868
O  0.4480  0.4480  0.9275
O  0.5502  0.5502  0.0190
O  0.6231  0.6231  0.6321
O  0.7160  0.7160  0.8536
O  0.7942  0.7942  0.5960
O  0.8403  0.8403  0.7206
O  0.9934  0.9934  0.2809

=====

For Mn3Zn2As2O12, a structure optimized by DFT (GGA+U) gives the calculated powder XRD pattern in this record (Cu Kα).
No peak broadening, texture or thermal motion is included.

Top 10 peaks for 10 to 90 degrees two-theta, by angle:
- 2θ 12.66, I 80
- 2θ 15.29, I 42
- 2θ 21.71, I 33
- 2θ 22.52, I 65
- 2θ 23.75, I 60
- 2θ 26.74, I 47
- 2θ 33.88, I 20
- 2θ 35.00, I 100
- 2θ 48.50, I 18
- 2θ 50.31, I 28

abc: 12.6534 12.6534 7.5223
angles: 102.09 102.09 13.64
Fractional positions:
Mn  0.0000  0.0000  0.0000
Mn  0.4176  0.4176  0.6734
Mn  0.5824  0.5824  0.3266
Zn  0.2095  0.2095  0.3784
Zn  0.7905  0.7905  0.6216
As  0.3944  0.3944  0.1611
As  0.6056  0.6056  0.8389
O  0.0298  0.0298  0.2563
O  0.1318  0.1318  0.3396
O  0.1456  0.1456  0.9182
O  0.2460  0.2460  0.6529
O  0.4183  0.4183  0.3818
O  0.4416  0.4416  0.0211
O  0.5584  0.5584  0.9789
O  0.5817  0.5817  0.6182
O  0.7540  0.7540  0.3471
O  0.8544  0.8544  0.0818
O  0.8682  0.8682  0.6604
O  0.9702  0.9702  0.7437

=====

For MnZnAsO5, a structure optimized by DFT (GGA+U) gives the calculated powder XRD pattern in this record (Cu Kα).
No peak broadening, texture or thermal motion is included.

Top 10 peaks for 10 to 90 degrees two-theta, by angle:
- 2θ 21.54, I 97
- 2θ 23.79, I 40
- 2θ 24.04, I 64
- 2θ 25.94, I 51
- 2θ 28.06, I 100
- 2θ 32.62, I 97
- 2θ 33.83, I 69
- 2θ 37.66, I 39
- 2θ 47.72, I 45
- 2θ 64.07, I 49

abc: 6.2079 8.2493 8.3934
angles: 90.00 90.00 90.00
Fractional positions:
Mn  0.2430  0.2503  0.0003
Mn  0.2570  0.7497  0.5003
Mn  0.7430  0.2497  0.9997
Mn  0.7570  0.7503  0.4997
Zn  0.0045  0.7491  0.8059
Zn  0.4955  0.2509  0.3059
Zn  0.5045  0.7509  0.1941
Zn  0.9955  0.2491  0.6941
As  0.0084  0.6046  0.1696
As  0.4916  0.3954  0.6696
As  0.5084  0.8954  0.8304
As  0.9916  0.1046  0.3304
O  0.0042  0.9142  0.4098
O  0.0064  0.6491  0.5917
O  0.0278  0.7538  0.0295
O  0.2221  0.1307  0.2157
O  0.2388  0.6235  0.2870
O  0.2612  0.3765  0.7870
O  0.2779  0.8693  0.7157
O  0.4722  0.2462  0.5295
O  0.4936  0.3509  0.0917
O  0.4958  0.0858  0.9098
O  0.5042  0.5858  0.5902
O  0.5064  0.8509  0.4083
O  0.5278  0.7462  0.9705
O  0.7221  0.3693  0.7843
O  0.7388  0.8765  0.7130
O  0.7612  0.1235  0.2130
O  0.7779  0.6307  0.2843
O  0.9722  0.2538  0.4705
O  0.9936  0.1491  0.9083
O  0.9958  0.4142  0.0902

=====

For Mn3Zn3As4O16, a structure optimized by DFT (GGA+U) gives the calculated powder XRD pattern in this record (Cu Kα).
No peak broadening, texture or thermal motion is included.

Top 10 peaks for 10 to 90 degrees two-theta, by angle:
- 2θ 21.94, I 47
- 2θ 23.85, I 37
- 2θ 26.56, I 100
- 2θ 28.51, I 29
- 2θ 29.30, I 91
- 2θ 32.18, I 60
- 2θ 33.80, I 72
- 2θ 34.17, I 31
- 2θ 35.66, I 84
- 2θ 57.72, I 29

abc: 8.7176 5.3045 16.3366
angles: 90.00 111.54 90.00
Fractional positions:
Mn  0.0000  0.0000  0.0000
Mn  0.0000  0.5000  0.5000
Mn  0.3007  0.9997  0.6237
Mn  0.3007  0.5003  0.1237
Mn  0.6993  0.0003  0.3763
Mn  0.6993  0.4997  0.8763
Zn  0.1957  0.0516  0.2162
Zn  0.1957  0.4484  0.7162
Zn  0.5000  0.0000  0.5000
Zn  0.5000  0.5000  0.0000
Zn  0.8043  0.5516  0.2838
Zn  0.8043  0.9484  0.7838
As  0.0832  0.9999  0.3915
As  0.0832  0.5001  0.8915
As  0.4688  0.0197  0.8525
As  0.4688  0.4803  0.3525
As  0.5312  0.5197  0.6475
As  0.5312  0.9803  0.1475
As  0.9168  0.0001  0.6085
As  0.9168  0.4999  0.1085
O  0.0012  0.7062  0.6083
O  0.0012  0.7938  0.1083
O  0.0694  0.2086  0.5987
O  0.0694  0.2914  0.0987
O  0.1052  0.5891  0.7973
O  0.1052  0.9109  0.2973
O  0.2507  0.5552  0.9867
O  0.2507  0.9448  0.4867
O  0.3222  0.1083  0.7515
O  0.3222  0.3917  0.2515
O  0.3358  0.6046  0.6493
O  0.3358  0.8954  0.1493
O  0.4235  0.1893  0.9284
O  0.4235  0.3107  0.4284
O  0.4787  0.6980  0.8688
O  0.4787  0.8020  0.3688
O  0.5213  0.1980  0.6312
O  0.5213  0.3020  0.1312
O  0.5765  0.6893  0.5716
O  0.5765  0.8107  0.0716
O  0.6642  0.1046  0.8507
O  0.6642  0.3954  0.3507
O  0.6778  0.6083  0.7485
O  0.6778  0.8917  0.2485
O  0.7493  0.0552  0.5133
O  0.7493  0.4448  0.0133
O  0.8948  0.0891  0.7027
O  0.8948  0.4109  0.2027
O  0.9306  0.7086  0.9013
O  0.9306  0.7914  0.4013
O  0.9988  0.2062  0.8917
O  0.9988  0.2938  0.3917